For SmBeSiPt2, the PBE geometry in Alexandria gives the theoretical powder X-ray diffraction pattern in this record (Cu Kα).
Intensities are scaled so that the largest is 1000.

The 12 most intense peaks (2θ = 10–90°), by angle:
2θ/deg	Rel. int.	h k l
23.17	144	1 0 1
30.43	794	1 1 0
34.41	1000	1 0 3
35.40	86	1 1 2
43.58	391	2 0 0
47.65	126	1 1 4
50.47	178	1 0 5
56.67	486	2 1 3
63.33	130	2 2 0
68.84	141	2 1 5
71.87	140	3 1 0
74.10	110	3 0 3

Structural model:
```
SmBeSiPt2
1.0
4.1538 0.0000 0.0000
0.0000 4.1538 0.0000
0.0000 0.0000 10.0429
Sm Be Si Pt
2 2 2 4
direct
0.0000 0.0000 0.0000
0.5000 0.5000 0.5000
0.0000 0.5000 0.2500
0.5000 0.0000 0.7500
0.0000 0.5000 0.7500
0.5000 0.0000 0.2500
0.0000 0.0000 0.3660
0.0000 0.0000 0.6340
0.5000 0.5000 0.1340
0.5000 0.5000 0.8660
```